Record 1
This entry pairs a crystal structure of Mn5Si2 with its computed X-ray powder pattern. Radiation: Cu Kα (weighted mean of Kα1 and Kα2). Structure: a DFT-relaxed cell (GGA-PBE, the Materials Project).

Cell and atoms:
```
Mn5Si2
1.0
8.724 0.000 0.000
0.000 8.724 0.000
0.000 0.000 8.531
Mn Si
40 16
Cartesian
0.081 3.473 3.635
0.378 7.581 8.227
0.405 8.319 2.133
0.695 5.982 3.581
0.889 4.443 5.767
1.142 8.346 4.569
1.189 1.189 0.000
1.518 1.951 5.563
1.620 3.667 1.448
1.951 1.518 2.968
2.410 5.880 7.695
2.742 8.029 0.685
2.844 6.313 5.101
3.173 5.551 2.133
3.220 3.984 6.094
3.473 0.081 4.896
3.667 1.620 7.083
3.957 3.957 0.000
3.984 3.220 2.437
4.281 7.835 7.029
4.443 0.889 2.763
4.740 5.504 6.702
4.767 4.767 4.265
5.056 7.104 2.817
5.251 8.643 0.631
5.504 4.740 1.829
5.551 3.173 6.398
5.880 2.410 0.835
5.982 0.695 4.950
6.313 2.844 3.430
6.772 7.206 7.233
7.104 5.056 5.713
7.206 6.772 1.297
7.535 7.535 4.265
7.581 0.378 0.304
7.835 4.281 1.502
8.029 2.742 7.846
8.319 0.405 6.398
8.346 1.142 3.961
8.643 5.251 7.900
0.284 6.678 5.988
1.013 6.043 1.269
1.681 3.349 7.667
2.046 8.439 6.808
2.316 4.078 3.855
2.681 7.710 2.996
3.349 1.681 0.863
4.078 2.316 4.676
4.646 6.408 0.410
5.375 7.042 5.129
6.043 1.013 7.262
6.408 4.646 8.120
6.678 0.284 2.543
7.042 5.375 3.402
7.710 2.681 5.535
8.439 2.046 1.722
```

Most intense lines, 2θ = 10–90°, by intensity:
| 2theta | d/Å | I_rel | hkl |
| --- | --- | --- | --- |
| 45.4 | 1.999 | 100 | 3 3 1 |
| 44.1 | 2.054 | 99 | 4 1 1 |
| 45.8 | 1.980 | 82 | 3 1 3 |
| 42.7 | 2.116 | 77 | 4 1 0 |
| 49.5 | 1.843 | 65 | 3 2 3 |
| 43.7 | 2.072 | 55 | 1 0 4 |

---

Record 2
This entry pairs a crystal structure of Mn5Si2 with its computed X-ray powder pattern. Radiation: Cu Kα (weighted mean of Kα1 and Kα2). Structure: a DFT-relaxed cell (GGA-PBE, the Materials Project).

Cell and atoms:
```
Mn5Si2
1.0
8.688 0.000 0.000
0.000 8.688 0.000
0.000 0.000 8.830
Mn Si
40 16
Cartesian
0.358 0.358 0.000
0.354 1.945 4.812
0.399 1.127 2.503
0.683 2.816 7.300
1.127 0.399 6.327
1.151 7.537 2.208
1.490 6.677 5.261
1.528 5.027 0.677
1.945 0.354 4.018
2.010 7.198 7.984
2.334 2.854 3.054
2.399 4.698 7.020
2.816 0.683 1.530
2.854 2.334 5.776
3.193 3.193 0.000
3.217 4.743 4.711
3.660 7.160 3.738
3.945 5.471 8.534
3.986 4.702 2.208
3.990 6.289 6.225
4.698 2.399 1.810
4.702 3.986 6.623
4.743 3.217 4.119
5.027 1.528 8.153
5.471 3.945 0.296
5.495 5.495 4.415
5.834 6.354 1.361
5.872 8.004 5.945
6.289 3.990 2.605
6.354 5.834 7.469
6.677 1.490 3.569
6.743 8.334 8.433
7.160 3.660 5.092
7.198 2.010 0.846
7.537 1.151 6.623
7.561 8.289 1.912
8.004 5.872 2.885
8.289 7.561 6.918
8.334 6.743 0.397
8.330 8.330 4.415
0.225 5.350 7.405
1.006 4.119 5.197
1.102 2.572 0.853
1.772 5.446 3.060
2.572 1.102 7.977
3.242 6.916 1.355
3.338 8.463 5.840
4.119 1.006 3.633
4.569 7.682 8.048
5.350 0.225 1.425
5.446 1.772 5.770
6.116 7.586 3.562
6.916 3.242 7.475
7.586 6.116 5.268
7.682 4.569 0.782
8.463 3.338 2.990
```

Most intense lines, 2θ = 10–90°, by intensity:
| 2theta | d/Å | I_rel | hkl |
| --- | --- | --- | --- |
| 45.5 | 1.995 | 100 | 3 3 1 |
| 44.2 | 2.050 | 66 | 4 1 1 |
| 42.9 | 2.107 | 61 | 4 1 0 |
| 48.8 | 1.864 | 52 | 3 2 3 |
| 45.1 | 2.008 | 49 | 3 1 3 |
| 14.4 | 6.143 | 45 | 1 1 0 |

---

Record 3
This entry pairs a crystal structure of SmMnSi with its computed X-ray powder pattern. Radiation: Cu Kα (weighted mean of Kα1 and Kα2). Structure: a DFT-relaxed cell (GGA-PBE, the Materials Project).

Cell and atoms:
```
SmMnSi
1.0
3.972 0.000 0.000
0.000 3.972 0.000
0.000 0.000 7.333
Sm Mn Si
2 2 2
Cartesian
0.993 0.993 1.266
2.979 2.979 6.067
0.993 2.979 3.666
2.979 0.993 3.666
0.993 0.993 5.070
2.979 2.979 2.263
```

Most intense lines, 2θ = 10–90°, by intensity:
| 2theta | d/Å | I_rel | hkl |
| --- | --- | --- | --- |
| 25.5 | 3.493 | 100 | 1 0 1 |
| 33.3 | 2.694 | 94 | 1 0 2 |
| 40.5 | 2.230 | 70 | 1 1 2 |
| 34.2 | 2.623 | 58 | 1 1 1 |
| 45.7 | 1.986 | 52 | 2 0 0 |
| 57.7 | 1.599 | 39 | 2 1 2 |

---

Record 4
This entry pairs a crystal structure of SmMnSi2 with its computed X-ray powder pattern. Radiation: Cu Kα (weighted mean of Kα1 and Kα2). Structure: a DFT-relaxed cell (GGA-PBE, the Materials Project).

Cell and atoms:
```
SmMnSi2
1.0
4.002 0.000 0.000
0.000 17.431 0.000
0.000 0.000 3.979
Sm Mn Si
4 4 8
Cartesian
0.000 1.763 0.995
0.000 15.668 2.984
2.001 6.953 2.984
2.001 10.478 0.995
0.000 4.365 2.984
0.000 13.066 0.995
2.001 4.351 0.995
2.001 13.080 2.984
0.000 5.641 0.995
0.000 8.089 0.995
0.000 9.342 2.984
0.000 11.790 2.984
2.001 0.626 2.984
2.001 3.075 2.984
2.001 14.356 0.995
2.001 16.805 0.995
```

Most intense lines, 2θ = 10–90°, by intensity:
| 2theta | d/Å | I_rel | hkl |
| --- | --- | --- | --- |
| 35.4 | 2.538 | 100 | 1 3 1 |
| 34.1 | 2.629 | 42 | 1 5 0 |
| 24.6 | 3.619 | 33 | 0 2 1 |
| 22.8 | 3.900 | 21 | 1 1 0 |
| 67.8 | 1.382 | 19 | 2 8 1 |
| 45.3 | 2.001 | 19 | 2 0 0 |

---

Record 5
This entry pairs a crystal structure of Sm2MnSi2 with its computed X-ray powder pattern. Radiation: Cu Kα (weighted mean of Kα1 and Kα2). Structure: a DFT-relaxed cell (GGA-PBE, the Materials Project).

Cell and atoms:
```
Sm2MnSi2
1.0
2.892 0.000 0.000
0.000 2.892 0.000
0.000 0.000 13.953
Sm Mn Si
2 1 2
Cartesian
0.000 0.000 1.747
0.000 0.000 12.206
0.000 0.000 6.976
0.000 0.000 4.661
0.000 0.000 9.292
```

Most intense lines, 2θ = 10–90°, by intensity:
| 2theta | d/Å | I_rel | hkl |
| --- | --- | --- | --- |
| 30.9 | 2.892 | 100 | 1 0 0 |
| 40.5 | 2.227 | 42 | 1 0 4 |
| 19.1 | 4.651 | 42 | 0 0 3 |
| 44.3 | 2.045 | 37 | 1 1 0 |
| 25.5 | 3.488 | 35 | 0 0 4 |
| 45.1 | 2.008 | 35 | 1 0 5 |

---

Record 6
This entry pairs a crystal structure of SrMn2Si with its computed X-ray powder pattern. Radiation: Cu Kα (weighted mean of Kα1 and Kα2). Structure: a DFT-relaxed cell (GGA-PBE, the Materials Project).

Cell and atoms:
```
SrMn2Si
1.0
6.869 0.000 0.000
0.000 6.869 0.000
0.000 0.000 6.869
Sr Mn Si
4 8 4
Cartesian
0.000 0.000 0.000
0.000 3.434 3.434
3.434 0.000 3.434
3.434 3.434 0.000
0.000 0.000 3.434
0.000 3.434 0.000
1.717 1.717 1.717
1.717 5.152 5.152
3.434 0.000 0.000
3.434 3.434 3.434
5.152 1.717 5.152
5.152 5.152 1.717
1.717 1.717 5.152
1.717 5.152 1.717
5.152 1.717 1.717
5.152 5.152 5.152
```

Most intense lines, 2θ = 10–90°, by intensity:
| 2theta | d/Å | I_rel | hkl |
| --- | --- | --- | --- |
| 37.0 | 2.429 | 100 | 2 2 0 |
| 66.7 | 1.402 | 33 | 4 2 2 |
| 53.4 | 1.717 | 16 | 4 0 0 |
| 78.8 | 1.214 | 10 | 4 4 0 |
| 25.9 | 3.434 | 8 | 2 0 0 |
| 22.4 | 3.966 | 8 | 1 1 1 |